Pr2BiSbSe2: calculated powder X-ray diffraction pattern (Cu Kα X-rays), based on a cell relaxed with GGA-PBE.

Structural model:
```
data_Pr2BiSbSe2
_cell_length_a 4.2971
_cell_length_b 4.2971
_cell_length_c 9.2460
_cell_angle_alpha 90.00
_cell_angle_beta 90.00
_cell_angle_gamma 90.00
_symmetry_space_group_name_H-M 'P -4 m 2'
_symmetry_Int_Tables_number 115
loop_
_symmetry_equiv_pos_as_xyz
'x,y,z'
'y,-x,-z'
'-x,-y,z'
'-y,x,-z'
'-x,y,z'
'-y,-x,-z'
'x,-y,z'
'y,x,-z'
loop_
_atom_site_label
_atom_site_fract_x
_atom_site_fract_y
_atom_site_fract_z
Pr1 0.0000 0.5000 0.1998
Bi1 0.5000 0.5000 0.5000
Sb1 0.0000 0.0000 0.5000
Se1 0.0000 0.5000 0.8719
```

The 6 most intense peaks (10° ≤ 2θ ≤ 80°), sorted by position:
| h k l | 2θ (°) | Rel. int. |
| --- | --- | --- |
| 1 0 1 | 22.82 | 24 |
| 0 0 3 | 28.97 | 49 |
| 1 1 1 | 30.98 | 100 |
| 1 1 2 | 35.35 | 81 |
| 2 0 0 | 42.05 | 47 |
| 2 0 3 | 51.88 | 39 |

Pr2BiSbTe2: calculated powder X-ray diffraction pattern (Cu Kα X-rays), based on a cell relaxed with GGA-PBE.

Structural model:
```
data_Pr2BiSbTe2
_cell_length_a 4.4231
_cell_length_b 4.4231
_cell_length_c 9.6342
_cell_angle_alpha 90.00
_cell_angle_beta 90.00
_cell_angle_gamma 90.00
_symmetry_space_group_name_H-M 'P -4 m 2'
_symmetry_Int_Tables_number 115
loop_
_symmetry_equiv_pos_as_xyz
'x,y,z'
'y,-x,-z'
'-x,-y,z'
'-y,x,-z'
'-x,y,z'
'-y,-x,-z'
'x,-y,z'
'y,x,-z'
loop_
_atom_site_label
_atom_site_fract_x
_atom_site_fract_y
_atom_site_fract_z
Pr1 0.0000 0.5000 0.2206
Bi1 0.0000 0.0000 0.5000
Sb1 0.5000 0.5000 0.5000
Te1 0.0000 0.5000 0.8750
```

The 6 most intense peaks (10° ≤ 2θ ≤ 80°), sorted by position:
| h k l | 2θ (°) | Rel. int. |
| --- | --- | --- |
| 0 0 3 | 27.78 | 42 |
| 1 1 1 | 30.04 | 100 |
| 1 1 2 | 34.18 | 81 |
| 1 0 3 | 34.51 | 41 |
| 2 0 0 | 40.80 | 52 |
| 2 0 3 | 50.08 | 33 |

PrSmSc2Bi2: calculated powder X-ray diffraction pattern (Cu Kα X-rays), based on a cell relaxed with GGA-PBE.

Structural model:
```
data_PrSmSc2Bi2
_cell_length_a 4.5069
_cell_length_b 4.5069
_cell_length_c 16.8034
_cell_angle_alpha 90.00
_cell_angle_beta 90.00
_cell_angle_gamma 90.00
_symmetry_space_group_name_H-M 'I 4 m m'
_symmetry_Int_Tables_number 107
_symmetry_space_group_name_Hall 'I 4 -2'
loop_
_atom_site_label
_atom_site_fract_x
_atom_site_fract_y
_atom_site_fract_z
Pr1 0.0000 0.0000 0.0000
Sm1 0.0000 0.0000 0.3512
Sc1 0.0000 0.5000 0.1767
Bi1 0.0000 0.0000 0.5492
Bi2 0.0000 0.0000 0.8031
```

The 6 most intense peaks (10° ≤ 2θ ≤ 80°), sorted by position:
| h k l | 2θ (°) | Rel. int. |
| --- | --- | --- |
| 0 0 4 | 21.15 | 42 |
| 1 1 0 | 28.00 | 99 |
| 1 0 5 | 33.25 | 80 |
| 1 1 4 | 35.35 | 100 |
| 2 0 0 | 40.01 | 65 |
| 2 1 5 | 52.97 | 43 |

TbPrBi2Se2: calculated powder X-ray diffraction pattern (Cu Kα X-rays), based on a cell relaxed with GGA-PBE.

Structural model:
```
data_TbPrBi2Se2
_cell_length_a 4.3154
_cell_length_b 4.3154
_cell_length_c 9.1212
_cell_angle_alpha 90.00
_cell_angle_beta 90.00
_cell_angle_gamma 90.00
_symmetry_space_group_name_H-M 'P 4 m m'
_symmetry_Int_Tables_number 99
loop_
_symmetry_equiv_pos_as_xyz
'x,y,z'
'-y,x,z'
'-x,-y,z'
'y,-x,z'
'-x,y,z'
'y,x,z'
'x,-y,z'
'-y,-x,z'
loop_
_atom_site_label
_atom_site_fract_x
_atom_site_fract_y
_atom_site_fract_z
Tb1 0.0000 0.0000 0.0000
Pr1 0.5000 0.5000 0.3904
Bi1 0.0000 0.5000 0.6990
Se1 0.0000 0.0000 0.3165
Se2 0.5000 0.5000 0.0616
```

The 6 most intense peaks (10° ≤ 2θ ≤ 80°), sorted by position:
| h k l | 2θ (°) | Rel. int. |
| --- | --- | --- |
| 0 0 3 | 29.38 | 45 |
| 1 1 1 | 30.90 | 100 |
| 1 1 2 | 35.39 | 76 |
| 2 0 0 | 41.87 | 43 |
| 2 0 3 | 51.97 | 37 |
| 1 1 5 | 58.98 | 20 |